This entry pairs a crystal structure of Pm3AlBr3 with its computed powder X-ray diffraction pattern. Radiation: Cu Kα (weighted mean of Kα1 and Kα2). Structure: a structure optimized by DFT (PBE).

Structure:
Unit cell a=5.9946 b=5.9946 c=5.9946 alpha=90.00 beta=90.00 gamma=90.00
Element x y z (fractional)
Pm  0.0000  0.0000  0.5000
Pm  0.0000  0.5000  0.0000
Pm  0.5000  0.0000  0.0000
Al  0.0000  0.0000  0.0000
Br  0.0000  0.5000  0.5000
Br  0.5000  0.0000  0.5000
Br  0.5000  0.5000  0.0000

Peak list (8 most intense, 15 to 90 degrees two-theta, sorted by position)
2θ/deg	I_rel
20.96	38
29.81	100
36.72	18
42.66	74
52.91	26
61.92	12
70.22	34
78.10	25